Structure and computed powder X-ray diffraction pattern of Zr6Te2Ru (a DFT-relaxed cell (GGA-PBE, the Materials Project); Cu Ka).
Lines closer than 0.1° are merged.

Top 10 peaks for 15° ≤ 2θ ≤ 90°, in order of falling intensity:
| d (Å) | Position (°2θ) | I (rel.) |
| --- | --- | --- |
| 2.496 | 35.98 | 100 |
| 2.681 | 33.43 | 90 |
| 2.586 | 34.69 | 56 |
| 2.280 | 39.52 | 54 |
| 2.110 | 42.86 | 49 |
| 1.442 | 64.64 | 38 |
| 1.492 | 62.23 | 33 |
| 1.425 | 65.51 | 24 |
| 1.825 | 49.98 | 23 |
| 3.950 | 22.51 | 14 |

a = 7.8998 Å, b = 7.8998 Å, c = 3.6497 Å
α = 90.00°, β = 90.00°, γ = 120.00°
Space group P-62m (No. 189)
Unique sites:
1 Zr 0.0000 0.2480 0.0000 (multiplicity 3)
2 Zr 0.0000 0.5950 0.5000 (multiplicity 3)
3 Te 0.3333 0.6667 0.0000 (multiplicity 2)
4 Ru 0.0000 0.0000 0.5000 (multiplicity 1)